Starting from a DFT-relaxed cell (GGA-PBE, the Materials Project), the powder X-ray diffraction pattern of Rb2NaBiI6 was calculated for Cu Kα, 1.54184 Å.

Main lines, sorted by position (2θ from 5° to 70°):
Position (°2θ)  intensity
12.32  25
14.24  37
23.72  15
24.79  71
28.70  100
32.17  21
41.03  75
48.53  32
50.84  27
67.30  34

a b c (Å): 8.7988 8.7988 8.7988
angles (deg): 60.00 60.00 60.00
Fractional coordinates of all 10 atoms:
Rb  0.2500  0.2500  0.2500
Rb  0.7500  0.7500  0.7500
Na  0.0000  0.0000  0.0000
Bi  0.5000  0.5000  0.5000
I  0.2526  0.2526  0.7474
I  0.2526  0.7474  0.2526
I  0.2526  0.7474  0.7474
I  0.7474  0.2526  0.2526
I  0.7474  0.2526  0.7474
I  0.7474  0.7474  0.2526